Entry 1:
The following is a computed powder diffraction line list of Ac5TbPmNd2. It was derived from a cell relaxed with PBE, using Cu Kα (weighted mean of Kα1 and Kα2).
Kinematic intensities with the Lorentz-polarization factor, no thermal factor.

Most intense lines, 10° ≤ 2θ ≤ 90°, by intensity:
2θ = 27.2°, I = 100, hkl 2 0 4; 2θ = 29.8°, I = 38, hkl 2 2 0; 2θ = 51.3°, I = 26, hkl 4 2 4; 2θ = 26.8°, I = 24, hkl 2 1 3; 2θ = 46.4°, I = 21, hkl 2 2 8; 2θ = 34.7°, I = 18, hkl 0 0 8; 2θ = 42.7°, I = 13, hkl 4 0 0; 2θ = 33.5°, I = 12, hkl 2 0 6; 2θ = 34.6°, I = 9, hkl 3 1 2; 2θ = 57.7°, I = 8, hkl 2 0 12; 2θ = 56.1°, I = 8, hkl 4 0 8; 2θ = 32.0°, I = 8, hkl 2 1 5

Cell and atoms:
Cell: 8.4764 8.4764 20.6910 Å, 90.00 90.00 90.00°
Space group I4/mcm (No. 140)
Unique sites:
1 Ac 0.0000 0.0000 0.0000 (multiplicity 4)
2 Ac 0.2225 0.2775 0.1368 (multiplicity 16)
3 Tb 0.0000 0.5000 0.2500 (multiplicity 4)
4 Pm 0.0000 0.0000 0.2500 (multiplicity 4)
5 Nd 0.1220 0.3780 0.5000 (multiplicity 8)

---

Entry 2:
The following is a computed powder diffraction line list of Cs4DyTm3Te8. It was derived from a cell relaxed with PBE, using Cu Kα (weighted mean of Kα1 and Kα2).
Kinematic intensities with the Lorentz-polarization factor, no thermal factor.

Most intense lines, 10° ≤ 2θ ≤ 90°, by intensity:
2θ = 26.4°, I = 100, hkl 0 2 4; 2θ = 39.9°, I = 38, hkl 2 2 0; 2θ = 35.3°, I = 32, hkl 2 0 8; 2θ = 48.4°, I = 19, hkl 4 0 4; 2θ = 64.5°, I = 16, hkl 2 4 4; 2θ = 32.8°, I = 12, hkl 0 2 7; 2θ = 54.3°, I = 9, hkl 0 4 8; 2θ = 69.5°, I = 9, hkl 4 2 8; 2θ = 76.8°, I = 8, hkl 2 2 18; 2θ = 43.8°, I = 8, hkl 2 0 11; 2θ = 58.1°, I = 8, hkl 2 2 12; 2θ = 53.4°, I = 7, hkl 2 0 14

Cell and atoms:
Cell: 9.0435 9.0435 26.7292 Å, 90.00 90.00 120.00°
Space group R-3m (No. 166, hexagonal axes)
Unique sites:
1 Cs 0.0000 0.0000 0.0000 (multiplicity 3)
2 Cs 0.0000 0.5000 0.0000 (multiplicity 9)
3 Dy 0.0000 0.0000 0.5000 (multiplicity 3)
4 Tm 0.0000 0.5000 0.5000 (multiplicity 9)
5 Te 0.0000 0.0000 0.2290 (multiplicity 6)
6 Te 0.0025 0.5012 0.7706 (multiplicity 18)

---

Entry 3:
The following is a computed powder diffraction line list of In2Pd2Pt. It was derived from a cell relaxed with PBE, using Cu Kα (weighted mean of Kα1 and Kα2).
Kinematic intensities with the Lorentz-polarization factor, no thermal factor.

Most intense lines, 10° ≤ 2θ ≤ 90°, by intensity:
2θ = 38.3°, I = 100, hkl 1 1 1; 2θ = 37.3°, I = 99, hkl 1 5 0; 2θ = 38.1°, I = 40, hkl 0 4 1; 2θ = 46.7°, I = 32, hkl 0 6 1; 2θ = 46.6°, I = 28, hkl 2 0 0; 2θ = 74.6°, I = 25, hkl 1 5 2; 2θ = 68.1°, I = 20, hkl 2 6 1; 2θ = 61.7°, I = 19, hkl 2 4 1; 2θ = 11.5°, I = 14, hkl 0 2 0; 2θ = 79.8°, I = 13, hkl 1 11 1; 2θ = 62.0°, I = 12, hkl 0 0 2; 2θ = 80.8°, I = 11, hkl 3 1 1

Cell and atoms:
Cell: 3.9016 15.3281 2.9956 Å, 90.00 90.00 90.00°
Space group Cmmm (No. 65)
Unique sites:
1 In 0.0000 0.1080 0.0000 (multiplicity 4)
2 Pd 0.0000 0.3123 0.5000 (multiplicity 4)
3 Pt 0.0000 0.5000 0.5000 (multiplicity 2)

---

Entry 4:
The following is a computed powder diffraction line list of VFeH2. It was derived from a cell relaxed with PBE, using Cu Kα (weighted mean of Kα1 and Kα2).
Kinematic intensities with the Lorentz-polarization factor, no thermal factor.

Most intense lines, 10° ≤ 2θ ≤ 90°, by intensity:
2θ = 43.0°, I = 100, hkl 1 2 1; 2θ = 42.4°, I = 64, hkl 2 0 1; 2θ = 40.8°, I = 45, hkl 0 0 2; 2θ = 37.7°, I = 36, hkl 1 2 0; 2θ = 56.7°, I = 19, hkl 1 2 2; 2θ = 81.5°, I = 18, hkl 3 2 2; 2θ = 75.8°, I = 17, hkl 1 2 3; 2θ = 67.0°, I = 16, hkl 3 2 0; 2θ = 83.9°, I = 15, hkl 2 4 1; 2θ = 75.4°, I = 10, hkl 2 0 3; 2θ = 36.9°, I = 9, hkl 2 0 0; 2θ = 82.9°, I = 9, hkl 0 4 2

Cell and atoms:
Cell: 4.8726 5.4823 4.4225 Å, 90.00 90.00 90.00°
Space group Pna2_1 (No. 33)
Unique sites:
1 V 0.1084 0.1172 0.0000 (multiplicity 4)
2 Fe 0.0814 0.6253 0.9907 (multiplicity 4)
3 H 0.0558 0.6210 0.3530 (multiplicity 4)
4 H 0.0966 0.1332 0.4002 (multiplicity 4)

---

Entry 5:
The following is a computed powder diffraction line list of Pm3BCl3. It was derived from a cell relaxed with PBE, using Cu Kα (weighted mean of Kα1 and Kα2).
Kinematic intensities with the Lorentz-polarization factor, no thermal factor.

Most intense lines, 10° ≤ 2θ ≤ 90°, by intensity:
2θ = 31.7°, I = 100, hkl 4 0 0; 2θ = 45.5°, I = 67, hkl 4 4 0; 2θ = 27.4°, I = 63, hkl 2 2 2; 2θ = 11.1°, I = 54, hkl 1 1 0; 2θ = 29.6°, I = 43, hkl 3 2 1; 2θ = 53.9°, I = 26, hkl 6 2 2; 2θ = 75.3°, I = 24, hkl 8 4 0; 2θ = 37.4°, I = 22, hkl 3 3 2; 2θ = 56.5°, I = 21, hkl 4 4 4; 2θ = 84.1°, I = 17, hkl 8 4 4; 2θ = 60.3°, I = 17, hkl 7 2 1; 2θ = 19.3°, I = 16, hkl 2 1 1

Cell and atoms:
Cell: 11.2823 11.2823 11.2823 Å, 90.00 90.00 90.00°
Space group I4_132 (No. 214)
Unique sites:
1 Pm 0.1112 0.3612 0.1250 (multiplicity 24)
2 B 0.1250 0.1250 0.1250 (multiplicity 8)
3 Cl 0.1210 0.1290 0.6250 (multiplicity 24)

---

Entry 6:
The following is a computed powder diffraction line list of PmZn3C4O12. It was derived from a cell relaxed with PBE, using Cu Kα (weighted mean of Kα1 and Kα2).
Kinematic intensities with the Lorentz-polarization factor, no thermal factor.

Most intense lines, 10° ≤ 2θ ≤ 90°, by intensity:
2θ = 30.5°, I = 100, hkl 2 0 2; 2θ = 23.9°, I = 61, hkl 0 2 1; 2θ = 50.4°, I = 28, hkl 2 2 3; 2θ = 37.2°, I = 26, hkl 2 2 0; 2θ = 49.6°, I = 23, hkl 0 2 4; 2θ = 30.3°, I = 18, hkl 2 1 1; 2θ = 44.7°, I = 17, hkl 4 0 1; 2θ = 15.1°, I = 16, hkl 1 0 1; 2θ = 44.9°, I = 14, hkl 3 1 2; 2θ = 18.3°, I = 12, hkl 1 1 0; 2θ = 48.9°, I = 11, hkl 0 4 2; 2θ = 59.5°, I = 9, hkl 2 4 1

Cell and atoms:
Cell: 9.6722 9.6722 8.1846 Å, 90.00 90.00 120.00°
Space group R32 (No. 155, hexagonal axes)
Unique sites:
1 Pm 0.0000 0.0000 0.0000 (multiplicity 3)
2 Zn 0.0000 0.5408 0.0000 (multiplicity 9)
3 C 0.0000 0.0000 0.5000 (multiplicity 3)
4 C 0.0000 0.4551 0.5000 (multiplicity 9)
5 O 0.0000 0.5894 0.5000 (multiplicity 9)
6 O 0.0000 0.8648 0.5000 (multiplicity 9)
7 O 0.0122 0.2094 0.1699 (multiplicity 18)

---

Entry 7:
The following is a computed powder diffraction line list of KNbP2O8. It was derived from a cell relaxed with PBE, using Cu Kα (weighted mean of Kα1 and Kα2).
Kinematic intensities with the Lorentz-polarization factor, no thermal factor.

Most intense lines, 10° ≤ 2θ ≤ 90°, by intensity:
2θ = 22.5°, I = 100, hkl 1 2 -1; 2θ = 16.5°, I = 75, hkl 0 1 2; 2θ = 23.3°, I = 60, hkl 0 1 3; 2θ = 45.9°, I = 40, hkl 2 4 -2; 2θ = 10.4°, I = 33, hkl 0 1 1; 2θ = 34.1°, I = 25, hkl 2 0 -2; 2θ = 27.2°, I = 23, hkl 1 2 -3; 2θ = 26.7°, I = 22, hkl 1 2 1; 2θ = 51.3°, I = 17, hkl 1 4 4; 2θ = 31.6°, I = 17, hkl 1 3 1; 2θ = 14.7°, I = 17, hkl 0 0 2; 2θ = 19.7°, I = 16, hkl 1 1 0

Cell and atoms:
Cell: 5.2605 12.0072 13.0608 Å, 90.00 112.51 90.00°
Space group P2_1/c (No. 14)
Unique sites:
1 K 0.1864 0.1340 0.4478 (multiplicity 4)
2 Nb 0.4124 0.1230 0.1692 (multiplicity 4)
3 P 0.1038 0.6886 0.8477 (multiplicity 4)
4 P 0.1153 0.0637 0.8656 (multiplicity 4)
5 O 0.0545 0.1719 0.7860 (multiplicity 4)
6 O 0.0772 0.2240 0.1245 (multiplicity 4)
7 O 0.1355 0.5826 0.9105 (multiplicity 4)
8 O 0.1666 0.5128 0.6524 (multiplicity 4)
9 O 0.2700 0.1091 0.9796 (multiplicity 4)
10 O 0.2767 0.5190 0.3233 (multiplicity 4)
11 O 0.3791 0.7448 0.8613 (multiplicity 4)
12 O 0.4814 0.6408 0.1869 (multiplicity 4)